TlAgSnSe2: simulated XRD peak list (Cu Kα, 1.54184 Å), based on a structure optimized by DFT (PBE).

Peak list (10 most intense, 2θ = 10–80°, by angle)
index  2θ/deg  I (rel.)
2 0 0  25.61  234
1 1 1  26.32  1000
2 0 -2  27.51  355
1 1 -2  27.72  356
1 2 0  35.36  300
1 1 2  35.48  200
1 1 -3  37.27  402
3 1 -1  39.58  341
2 2 -2  43.36  205
0 0 4  48.91  190

Structure:
abc: 7.542 5.453 8.074
angles: 90.00 112.71 90.00
Space group P2/c (No. 13)
Symmetry-distinct sites (fractional):
Tl 0.000 0.208 0.250 x2
Ag 0.500 0.000 0.000 x2
Sn 0.500 0.403 0.750 x2
Se 0.244 0.306 0.993 x4